# TcNi3Pt
Theoretical powder diffraction line list, Cu Kα X-rays. Input: a crystal structure in Alexandria, relaxed with GGA-PBE.

Structural model:
a b c (Å): 5.783 5.783 8.642
angles (deg): 101.09 101.09 26.52
Positions (direct):
Tc: 0.147 0.147 0.449
Tc: 0.853 0.853 0.551
Ni: 0.053 0.053 0.163
Ni: 0.251 0.251 0.745
Ni: 0.449 0.449 0.354
Ni: 0.551 0.551 0.646
Ni: 0.749 0.749 0.255
Ni: 0.947 0.947 0.837
Pt: 0.357 0.357 0.053
Pt: 0.643 0.643 0.947

Top 12 peaks for 2θ from 10° to 90°, low angle first:
2θ 10.44, intensity 32
2θ 20.97, intensity 18
2θ 23.82, intensity 15
2θ 36.90, intensity 13
2θ 42.12, intensity 100
2θ 42.49, intensity 48
2θ 42.59, intensity 48
2θ 48.91, intensity 64
2θ 50.01, intensity 29
2θ 72.48, intensity 18
2θ 72.62, intensity 19
2θ 86.50, intensity 24